1.
# AcMg9Al2
Calculated X-ray powder pattern, CuKα. Input: DFT lattice parameters and positions (PBE).
Intensities are scaled so that the largest is 1000.

Principal peaks in the range 15 to 90 degrees two-theta, sorted by position:
| d/Å | I (rel.) |
| --- | --- |
| 4.445 | 682 |
| 4.273 | 273 |
| 3.552 | 470 |
| 3.080 | 534 |
| 2.732 | 1000 |
| 2.703 | 571 |
| 2.545 | 263 |
| 1.566 | 289 |

Structure:
```
24
Lattice="-6.0431 6.0431 3.9053 6.0431 -6.0431 3.9053 6.0431 6.0431 -3.9053" Properties=species:S:1:pos:R:3 pbc="T T T"
Ac 6.0431 3.0215 0.9763
Ac 0.0000 3.0215 2.9290
Mg 6.0431 -3.0215 2.9290
Mg 4.5678 -0.5882 1.4239
Mg 7.5183 -0.5882 1.4239
Mg 2.4333 1.5463 0.5288
Mg 9.6528 1.5463 0.5288
Mg 4.5678 5.4549 -1.4239
Mg 1.4752 -0.5882 2.4815
Mg 2.4333 4.4967 0.5288
Mg 3.6097 -1.5463 4.4341
Mg 2.4333 7.5894 -0.5288
Mg 3.6097 1.5463 3.3765
Mg 4.5678 6.6312 1.4239
Mg 1.4752 0.5882 5.3292
Mg -3.6097 4.4967 3.3765
Mg 3.6097 4.4967 3.3765
Mg -1.4752 6.6312 2.4815
Mg 1.4752 6.6312 2.4815
Mg 0.0000 9.0646 0.9763
Al 0.0000 0.0000 0.0000
Al 3.0215 3.0215 -1.9527
Al 3.0215 -3.0215 1.9527
Al 0.0000 6.0431 0.0000
```

---

2.
# ZnGa6Tc
Calculated X-ray powder pattern, CuKα. Input: DFT lattice parameters and positions (PBE).
Intensities are scaled so that the largest is 1000.

Principal peaks in the range 15 to 90 degrees two-theta, sorted by position:
| d/Å | I (rel.) |
| --- | --- |
| 3.266 | 443 |
| 3.177 | 1000 |
| 2.852 | 655 |
| 2.497 | 321 |
| 2.257 | 915 |
| 2.247 | 831 |
| 2.189 | 686 |
| 2.028 | 552 |

Structure:
```
8
Lattice="3.6688 -3.8722 0.0000 3.6688 3.8722 0.0000 -0.8259 0.0000 5.5556" Properties=species:S:1:pos:R:3 pbc="T T T"
Zn 0.0000 0.0000 0.0000
Ga 0.8209 0.0000 3.1032
Ga 2.6317 1.5463 0.9744
Ga 3.8801 1.5463 4.5812
Ga 2.6317 -1.5463 0.9744
Ga 3.8801 -1.5463 4.5812
Ga 5.6908 0.0000 2.4524
Tc 3.2559 0.0000 2.7778
```

---

3.
# AcGe
Calculated X-ray powder pattern, CuKα. Input: DFT lattice parameters and positions (PBE).
Intensities are scaled so that the largest is 1000.

Principal peaks in the range 15 to 90 degrees two-theta, sorted by position:
| d/Å | I (rel.) |
| --- | --- |
| 3.595 | 560 |
| 3.320 | 1000 |
| 3.083 | 901 |
| 2.987 | 971 |
| 2.774 | 730 |
| 2.649 | 588 |
| 2.462 | 675 |
| 1.758 | 428 |

Structure:
```
8
Lattice="8.7410 0.0000 0.0000 0.0000 4.3483 0.0000 0.0000 0.0000 6.3555" Properties=species:S:1:pos:R:3 pbc="T T T"
Ac 1.5857 1.0871 0.7522
Ac 2.7847 3.2612 3.9300
Ac 5.9562 1.0871 2.4256
Ac 7.1552 3.2612 5.6033
Ge 0.3098 1.0871 3.9864
Ge 4.0607 3.2612 0.8086
Ge 4.6803 1.0871 5.5469
Ge 8.4311 3.2612 2.3691
```

---

4.
# Sm2Cu3Ge4Au
Calculated X-ray powder pattern, CuKα. Input: DFT lattice parameters and positions (PBE).
Intensities are scaled so that the largest is 1000.

Principal peaks in the range 15 to 90 degrees two-theta, sorted by position:
| d/Å | I (rel.) |
| --- | --- |
| 2.648 | 439 |
| 2.587 | 1000 |
| 2.126 | 512 |
| 1.833 | 196 |
| 1.658 | 212 |
| 1.504 | 166 |
| 1.388 | 154 |
| 1.300 | 229 |

Structure:
```
10
Lattice="4.2530 0.0000 0.0000 0.0000 4.2530 0.0000 0.0000 0.0000 10.1546" Properties=species:S:1:pos:R:3 pbc="T T T"
Sm 0.0000 2.1265 2.4796
Sm 2.1265 0.0000 7.6750
Cu 0.0000 2.1265 8.8797
Cu 2.1265 0.0000 1.2749
Cu 2.1265 2.1265 5.0773
Ge 0.0000 0.0000 0.0000
Ge 0.0000 2.1265 6.5157
Ge 2.1265 0.0000 3.6390
Ge 2.1265 2.1265 0.0000
Au 0.0000 0.0000 5.0773
```